No. 1
# DySBr
Calculated powder X-ray diffraction pattern, Cu Ka. Input: a cell relaxed with GGA-PBE.

Lattice parameters (Å, degrees): 4.074 5.364 9.307 90.00 90.00 90.00
Positions (direct):
Dy 0.250 0.250 0.125
Dy 0.750 0.750 0.875
S 0.250 0.750 0.073
S 0.750 0.250 0.927
Br 0.250 0.750 0.664
Br 0.750 0.250 0.336

Most intense lines, 2θ = 10–80°, by angle:
2θ 19.10, intensity 81; 2θ 29.14, intensity 100; 2θ 33.40, intensity 32; 2θ 40.22, intensity 34; 2θ 44.47, intensity 12; 2θ 44.91, intensity 41; 2θ 48.81, intensity 14; 2θ 52.03, intensity 24; 2θ 56.74, intensity 14; 2θ 70.81, intensity 19

=====

No. 2
# Dy2SeBr
Calculated powder X-ray diffraction pattern, Cu Ka. Input: a cell relaxed with GGA-PBE.

Lattice parameters (Å, degrees): 3.814 3.814 23.935 90.00 90.00 120.00
Positions (direct):
Dy 0.000 0.000 0.000
Dy 0.000 0.000 0.186
Dy 0.333 0.667 0.667
Dy 0.333 0.667 0.853
Dy 0.667 0.333 0.333
Dy 0.667 0.333 0.520
Se 0.000 0.000 0.594
Se 0.333 0.667 0.261
Se 0.667 0.333 0.927
Br 0.000 0.000 0.761
Br 0.333 0.667 0.427
Br 0.667 0.333 0.094

Most intense lines, 2θ = 10–80°, by angle:
2θ 27.26, intensity 22; 2θ 28.03, intensity 25; 2θ 30.93, intensity 23; 2θ 32.95, intensity 100; 2θ 37.87, intensity 34; 2θ 46.88, intensity 22; 2θ 47.69, intensity 42; 2θ 59.19, intensity 19; 2θ 68.02, intensity 20; 2θ 79.32, intensity 16

=====

No. 3
# Dy2SeBr3
Calculated powder X-ray diffraction pattern, Cu Ka. Input: a cell relaxed with GGA-PBE.

Lattice parameters (Å, degrees): 9.090 9.090 12.713 124.92 124.92 26.20
Positions (direct):
Dy 0.105 0.105 0.440
Dy 0.373 0.373 0.170
Dy 0.627 0.627 0.830
Dy 0.895 0.895 0.560
Se 0.093 0.093 0.664
Se 0.907 0.907 0.336
Br 0.170 0.170 0.028
Br 0.261 0.261 0.394
Br 0.445 0.445 0.761
Br 0.555 0.555 0.239
Br 0.739 0.739 0.606
Br 0.830 0.830 0.972

Most intense lines, 2θ = 10–80°, by angle:
2θ 10.08, intensity 49; 2θ 14.11, intensity 100; 2θ 25.38, intensity 79; 2θ 26.07, intensity 49; 2θ 30.63, intensity 60; 2θ 31.62, intensity 76; 2θ 35.72, intensity 64; 2θ 42.95, intensity 59; 2θ 43.40, intensity 49; 2θ 43.96, intensity 49